The following is a theoretical powder diffractogram of NaSrTl5. It was derived from the GGA-PBE geometry in Alexandria, using Cu Kα, 1.54184 Å.

Cell and atoms:
Lattice parameters (Å, degrees): 6.5976 10.3931 6.8289 90.00 90.00 90.00
Sites, in units of the cell vectors:
Na (0.0000, 0.0000, 0.0000)
Na (0.5000, 0.5000, 0.0000)
Sr (0.0000, 0.5000, 0.5000)
Sr (0.5000, 0.0000, 0.5000)
Tl (0.0000, 0.5000, 0.0000)
Tl (0.2500, 0.2500, 0.2431)
Tl (0.2500, 0.2500, 0.7569)
Tl (0.2500, 0.7500, 0.2431)
Tl (0.2500, 0.7500, 0.7569)
Tl (0.5000, 0.0000, 0.0000)
Tl (0.7500, 0.2500, 0.2431)
Tl (0.7500, 0.2500, 0.7569)
Tl (0.7500, 0.7500, 0.2431)
Tl (0.7500, 0.7500, 0.7569)

Peak list (10 most intense, 15 to 90 degrees two-theta, in order of rising 2θ)
- 2θ 15.91, I = 29
- 2θ 17.06, I = 41
- 2θ 31.35, I = 100
- 2θ 32.14, I = 94
- 2θ 34.52, I = 39
- 2θ 37.92, I = 60
- 2θ 41.86, I = 18
- 2θ 52.21, I = 49
- 2θ 63.96, I = 26
- 2θ 65.37, I = 37

The following is a theoretical powder diffractogram of Cs2CaPdI6. It was derived from the GGA-PBE geometry in Alexandria, using Cu Kα, 1.54184 Å.

Cell and atoms:
Lattice parameters (Å, degrees): 8.4701 8.4701 8.4701 120.16 120.16 89.72
Sites, in units of the cell vectors:
Cs (0.2500, 0.7500, 0.5000)
Cs (0.7500, 0.2500, 0.5000)
Ca (0.0000, 0.0000, 0.0000)
Pd (0.5000, 0.5000, 0.0000)
I (0.2596, 0.2596, 0.0000)
I (0.2614, 0.2614, 0.5228)
I (0.2614, 0.7386, 0.0000)
I (0.7386, 0.2614, 0.0000)
I (0.7386, 0.7386, 0.4772)
I (0.7404, 0.7404, 0.0000)

Peak list (10 most intense, 15 to 90 degrees two-theta, in order of rising 2θ)
- 2θ 25.79, I = 100
- 2θ 29.76, I = 32
- 2θ 29.91, I = 62
- 2θ 42.70, I = 46
- 2θ 42.81, I = 23
- 2θ 50.46, I = 15
- 2θ 50.65, I = 29
- 2θ 53.01, I = 24
- 2θ 70.45, I = 19
- 2θ 78.34, I = 14

The following is a theoretical powder diffractogram of Ce3NdHg7. It was derived from the GGA-PBE geometry in Alexandria, using Cu Kα, 1.54184 Å.

Cell and atoms:
Lattice parameters (Å, degrees): 12.2176 12.2176 14.4231 90.00 90.00 163.43
Sites, in units of the cell vectors:
Ce (0.0866, 0.9134, 0.5761)
Ce (0.0866, 0.9134, 0.9239)
Ce (0.2478, 0.7522, 0.2500)
Ce (0.7522, 0.2478, 0.7500)
Ce (0.9134, 0.0866, 0.0761)
Ce (0.9134, 0.0866, 0.4239)
Nd (0.0832, 0.9168, 0.2500)
Nd (0.9168, 0.0832, 0.7500)
Hg (0.2145, 0.7855, 0.5709)
Hg (0.2145, 0.7855, 0.9291)
Hg (0.3400, 0.6600, 0.6038)
Hg (0.3400, 0.6600, 0.8962)
Hg (0.4521, 0.5479, 0.2500)
Hg (0.4700, 0.5300, 0.5878)
Hg (0.4700, 0.5300, 0.9122)
Hg (0.5300, 0.4700, 0.0878)
Hg (0.5300, 0.4700, 0.4122)
Hg (0.5479, 0.4521, 0.7500)
Hg (0.6600, 0.3400, 0.1038)
Hg (0.6600, 0.3400, 0.3962)
Hg (0.7855, 0.2145, 0.0709)
Hg (0.7855, 0.2145, 0.4291)

Peak list (10 most intense, 15 to 90 degrees two-theta, in order of rising 2θ)
- 2θ 31.72, I = 100
- 2θ 35.07, I = 77
- 2θ 36.44, I = 27
- 2θ 36.69, I = 22
- 2θ 37.41, I = 39
- 2θ 42.31, I = 18
- 2θ 51.94, I = 18
- 2θ 53.21, I = 14
- 2θ 64.22, I = 27
- 2θ 65.74, I = 14